1.
For RbReSn2Pd, a cell relaxed with GGA-PBE gives the theoretical powder diffractogram in this record (Cu Kα, 1.54184 Å).
Peak positions follow from Bragg's law for the DFT cell and can differ from measured ones.

Unit cell a=5.7619 b=5.7619 c=4.9848 alpha=90.00 beta=90.00 gamma=90.00
Space group P4/mmm (No. 123)
Inequivalent atoms, fractional coordinates:
1 Rb 0.0000 0.0000 0.0000
2 Re 0.0000 0.0000 0.5000
3 Sn 0.0000 0.5000 0.0000
4 Pd 0.5000 0.5000 0.5000

The 8 most intense peaks (2θ from 10° to 90°), sorted by position:
2theta  Rel. int.
15.38  27
28.29  100
31.04  76
36.03  26
44.47  28
48.28  45
53.55  35
84.71  28



2.
For PrZnGa2Au5, a cell relaxed with GGA-PBE gives the theoretical powder diffractogram in this record (Cu Kα, 1.54184 Å).
Peak positions follow from Bragg's law for the DFT cell and can differ from measured ones.

Unit cell a=5.0017 b=5.0017 c=7.5280 alpha=90.00 beta=90.00 gamma=90.00
Space group P4/mmm (No. 123)
Inequivalent atoms, fractional coordinates:
1 Pr 0.0000 0.0000 0.0000
2 Zn 0.0000 0.0000 0.5000
3 Ga 0.5000 0.5000 0.3398
4 Au 0.0000 0.5000 0.2619
5 Au 0.5000 0.5000 0.0000

The 8 most intense peaks (2θ from 10° to 90°), sorted by position:
2theta  Rel. int.
34.81  100
35.91  66
51.67  32
61.68  18
63.83  35
73.48  11
81.38  11
87.14  13



3.
For Pr2Ga5Co2, a cell relaxed with GGA-PBE gives the theoretical powder diffractogram in this record (Cu Kα, 1.54184 Å).
Peak positions follow from Bragg's law for the DFT cell and can differ from measured ones.

Unit cell a=4.5343 b=4.5343 c=9.1207 alpha=90.00 beta=90.00 gamma=90.00
Space group P4/mmm (No. 123)
Inequivalent atoms, fractional coordinates:
1 Pr 0.0000 0.0000 0.0000
2 Pr 0.0000 0.0000 0.5000
3 Ga 0.0000 0.5000 0.2349
4 Ga 0.5000 0.5000 0.5000
5 Co 0.5000 0.5000 0.2549

The 8 most intense peaks (2θ from 10° to 90°), sorted by position:
2theta  Rel. int.
27.76  83
34.19  100
39.52  35
39.76  73
49.17  29
57.31  46
57.49  24
68.61  26



4.
For Pm2Ag2Ge3, a cell relaxed with GGA-PBE gives the theoretical powder diffractogram in this record (Cu Kα, 1.54184 Å).
Peak positions follow from Bragg's law for the DFT cell and can differ from measured ones.

Unit cell a=4.4414 b=18.8944 c=7.1868 alpha=90.00 beta=90.00 gamma=90.00
Space group Cmcm (No. 63)
Inequivalent atoms, fractional coordinates:
1 Pm 0.0000 0.0521 0.2500
2 Pm 0.0000 0.1534 0.7500
3 Ag 0.0000 0.3100 0.5543
4 Ge 0.0000 0.2220 0.2500
5 Ge 0.0000 0.4400 0.0703

The 8 most intense peaks (2θ from 10° to 90°), sorted by position:
2theta  Rel. int.
31.01  30
32.40  92
33.54  100
35.14  23
38.10  21
40.63  45
42.30  40
60.10  28



5.
For BaTh2S5, a cell relaxed with GGA-PBE gives the theoretical powder diffractogram in this record (Cu Kα, 1.54184 Å).
Peak positions follow from Bragg's law for the DFT cell and can differ from measured ones.

Unit cell a=8.6717 b=7.6943 c=12.1976 alpha=90.00 beta=90.34 gamma=90.00
Space group P2_1/c (No. 14)
Inequivalent atoms, fractional coordinates:
1 Ba 0.0098 0.0496 0.3315
2 Th 0.2530 0.5682 0.4918
3 Th 0.4977 0.5184 0.1790
4 S 0.0355 0.1743 0.0778
5 S 0.2741 0.6919 0.7149
6 S 0.2855 0.1669 0.8135
7 S 0.2909 0.5502 0.9976
8 S 0.4601 0.1589 0.1020

The 8 most intense peaks (2θ from 10° to 90°), sorted by position:
2theta  Rel. int.
23.12  45
24.68  86
24.77  100
25.13  33
25.28  33
34.41  34
34.52  28
41.67  27



6.
For PuPaCdO6, a cell relaxed with GGA-PBE gives the theoretical powder diffractogram in this record (Cu Kα, 1.54184 Å).
Peak positions follow from Bragg's law for the DFT cell and can differ from measured ones.

Unit cell a=5.1434 b=5.1434 c=10.3820 alpha=90.00 beta=90.00 gamma=90.00
Space group P4_2nm (No. 102)
Inequivalent atoms, fractional coordinates:
1 Pu 0.0000 0.0000 0.0000
2 Pa 0.0000 0.0000 0.6624
3 Cd 0.0000 0.0000 0.3315
4 O 0.1779 0.1779 0.8342
5 O 0.1992 0.1992 0.1532
6 O 0.2039 0.2039 0.5081

The 8 most intense peaks (2θ from 10° to 90°), sorted by position:
2theta  Rel. int.
24.48  100
31.15  92
34.89  29
47.46  71
56.59  18
59.13  18
60.24  20
71.54  17



7.
For Ag3PdCl4, a cell relaxed with GGA-PBE gives the theoretical powder diffractogram in this record (Cu Kα, 1.54184 Å).
Peak positions follow from Bragg's law for the DFT cell and can differ from measured ones.

Unit cell a=7.6855 b=7.1056 c=7.0573 alpha=90.00 beta=90.00 gamma=90.00
Space group Pmn2_1 (No. 31)
Inequivalent atoms, fractional coordinates:
1 Ag 0.0000 0.0938 0.0000
2 Ag 0.1901 0.7128 0.9920
3 Pd 0.0000 0.8552 0.6534
4 Cl 0.0000 0.2030 0.6545
5 Cl 0.0000 0.8523 0.2662
6 Cl 0.2416 0.3547 0.1432

The 8 most intense peaks (2θ from 10° to 90°), sorted by position:
2theta  Rel. int.
17.04  100
25.24  60
26.37  96
28.12  49
29.30  95
37.79  46
40.12  96
45.55  92



8.
For Pr7Y12Pu, a cell relaxed with GGA-PBE gives the theoretical powder diffractogram in this record (Cu Kα, 1.54184 Å).
Peak positions follow from Bragg's law for the DFT cell and can differ from measured ones.

Unit cell a=11.4025 b=11.4025 c=11.4025 alpha=90.00 beta=90.00 gamma=90.00
Space group Im-3m (No. 229)
Inequivalent atoms, fractional coordinates:
1 Pr 0.0000 0.0000 0.5000
2 Pr 0.2500 0.2500 0.2500
3 Y 0.0000 0.2462 0.2462
4 Pu 0.0000 0.0000 0.0000

The 8 most intense peaks (2θ from 10° to 90°), sorted by position:
2theta  Rel. int.
22.05  66
27.09  51
31.38  100
38.69  32
44.97  73
55.86  25
74.42  32
82.97  24



9.
For Tb3In4Sn2, a cell relaxed with GGA-PBE gives the theoretical powder diffractogram in this record (Cu Kα, 1.54184 Å).
Peak positions follow from Bragg's law for the DFT cell and can differ from measured ones.

Unit cell a=7.9475 b=7.9475 c=4.3507 alpha=90.00 beta=90.00 gamma=120.00
Space group P-62m (No. 189)
Inequivalent atoms, fractional coordinates:
1 Tb 0.0000 0.3898 0.0000
2 In 0.0000 0.0000 0.0000
3 In 0.0000 0.7361 0.5000
4 Sn 0.3333 0.6667 0.5000

The 8 most intense peaks (2θ from 10° to 90°), sorted by position:
2theta  Rel. int.
30.47  100
33.19  62
34.48  30
39.27  44
40.40  23
41.51  24
58.47  31
62.58  27



10.
For Fe2Ni2Pt3, a cell relaxed with GGA-PBE gives the theoretical powder diffractogram in this record (Cu Kα, 1.54184 Å).
Peak positions follow from Bragg's law for the DFT cell and can differ from measured ones.

Unit cell a=2.6587 b=2.6780 c=13.8653 alpha=90.00 beta=95.44 gamma=90.00
Space group P2/m (No. 10)
Inequivalent atoms, fractional coordinates:
1 Fe 0.1398 0.0000 0.2772
2 Ni 0.4188 0.5000 0.8408
3 Pt 0.0000 0.5000 0.0000
4 Pt 0.2933 0.5000 0.5876

The 8 most intense peaks (2θ from 10° to 90°), sorted by position:
2theta  Rel. int.
12.83  49
32.43  37
33.46  48
35.97  41
40.94  100
47.29  48
49.30  60
53.87  46